This entry pairs a crystal structure of CsHfScSe3 with its calculated powder X-ray diffraction pattern. Radiation: Cu Kα X-rays. Structure: a cell relaxed with GGA-PBE.

Structural model:
Cell lengths 4.0493, 16.2724, 10.4834 Å; angles 90.00, 90.00, 90.00 degrees
Space group Cmcm (No. 63)
Symmetry-distinct sites (fractional):
Cs1 0.0000 0.2426 0.2500 [4 per cell]
Hf1 0.0000 0.5000 0.0000 [4 per cell]
Sc1 0.0000 0.0374 0.7500 [4 per cell]
Se1 0.0000 0.1147 0.5371 [8 per cell]
Se2 0.0000 0.4391 0.7500 [4 per cell]

Largest 10 diffraction maxima, in order of rising 2θ, 2θ from 10° to 80°:
| d/Å | 2θ (°) | I/Imax | h k l |
| --- | --- | --- | --- |
| 8.136 | 10.87 | 96.3 | 0 2 0 |
| 4.406 | 20.15 | 87.1 | 0 2 2 |
| 3.245 | 27.49 | 64.5 | 1 3 0 |
| 3.100 | 28.80 | 100.0 | 1 3 1 |
| 2.759 | 32.45 | 60.6 | 1 3 2 |
| 2.621 | 34.21 | 67.0 | 0 0 4 |
| 2.409 | 37.33 | 31.0 | 0 6 2 |
| 2.283 | 39.46 | 88.6 | 1 5 2 |
| 2.025 | 44.76 | 37.4 | 2 0 0 |
| 1.761 | 51.93 | 36.3 | 1 3 5 |